Record 1
This entry pairs a crystal structure of MnSb3 with its calculated XRD peak list. Radiation: Cu Ka. Structure: DFT lattice parameters and positions (GGA-PBE).
Lines closer than 0.1° are merged.

Crystal structure
a = 3.6724 Å, b = 8.5393 Å, c = 6.0759 Å
α = 90.00°, β = 90.00°, γ = 90.00°
Space group Pmmn (No. 59, origin choice 2)
Inequivalent atoms, fractional coordinates:
Mn 0.2500 0.2500 0.0400 [2 per cell]
Sb 0.2500 0.5608 0.1927 [4 per cell]
Sb 0.2500 0.7500 0.6385 [2 per cell]

The 8 most intense peaks (10° ≤ 2θ ≤ 90°), low angle first:
hkl 1 1 0, 26.4°, rel. 44
hkl 1 0 1, 28.4°, rel. 34
hkl 0 3 1, 34.8°, rel. 88
hkl 1 2 1, 35.5°, rel. 100
hkl 1 0 2, 38.5°, rel. 64
hkl 1 3 1, 42.9°, rel. 44
hkl 0 2 3, 49.8°, rel. 28
hkl 2 3 1, 62.1°, rel. 37

=====

Record 2
This entry pairs a crystal structure of MnSb3 with its calculated XRD peak list. Radiation: Cu Ka. Structure: DFT lattice parameters and positions (GGA-PBE).
Lines closer than 0.1° are merged.

Crystal structure
a = 3.1987 Å, b = 3.6169 Å, c = 8.0880 Å
α = 90.00°, β = 90.69°, γ = 90.00°
Space group P2/m (No. 10)
Inequivalent atoms, fractional coordinates:
Mn 0.0000 0.0000 0.0000 [1 per cell]
Sb 0.0000 0.0000 0.5000 [1 per cell]
Sb 0.4914 0.5000 0.8028 [2 per cell]

The 8 most intense peaks (10° ≤ 2θ ≤ 90°), low angle first:
hkl 0 1 1, 27.0°, rel. 20
hkl 0 1 2, 33.2°, rel. 100
hkl 1 0 -2, 35.6°, rel. 31
hkl 1 0 2, 36.0°, rel. 33
hkl 1 1 0, 37.5°, rel. 73
hkl 0 2 0, 50.5°, rel. 15
hkl 1 1 -3, 50.8°, rel. 13
hkl 1 2 2, 63.5°, rel. 12

=====

Record 3
This entry pairs a crystal structure of ScMnSb with its calculated XRD peak list. Radiation: Cu Ka. Structure: DFT lattice parameters and positions (GGA-PBE).
Lines closer than 0.1° are merged.

Crystal structure
a = 4.0910 Å, b = 4.0910 Å, c = 7.0834 Å
α = 90.00°, β = 90.00°, γ = 90.00°
Space group P4/nmm (No. 129, origin choice 2)
Inequivalent atoms, fractional coordinates:
Sc 0.2500 0.2500 0.1778 [2 per cell]
Mn 0.2500 0.7500 0.5000 [2 per cell]
Sb 0.2500 0.2500 0.7585 [2 per cell]

The 8 most intense peaks (10° ≤ 2θ ≤ 90°), low angle first:
hkl 0 0 2, 25.1°, rel. 72
hkl 1 1 0, 30.9°, rel. 30
hkl 1 1 1, 33.5°, rel. 30
hkl 1 1 2, 40.3°, rel. 100
hkl 2 0 0, 44.3°, rel. 67
hkl 0 0 4, 51.6°, rel. 33
hkl 2 2 0, 64.4°, rel. 28
hkl 2 0 4, 70.3°, rel. 28

=====

Record 4
This entry pairs a crystal structure of ScMnSb3 with its calculated XRD peak list. Radiation: Cu Ka. Structure: DFT lattice parameters and positions (GGA-PBE).
Lines closer than 0.1° are merged.

Crystal structure
a = 5.0982 Å, b = 5.0982 Å, c = 5.0982 Å
α = 90.00°, β = 90.00°, γ = 90.00°
Space group Pm-3m (No. 221)
Inequivalent atoms, fractional coordinates:
Sc 0.0000 0.0000 0.0000 [1 per cell]
Mn 0.5000 0.5000 0.5000 [1 per cell]
Sb 0.0000 0.5000 0.5000 [3 per cell]

The 8 most intense peaks (10° ≤ 2θ ≤ 90°), low angle first:
hkl 1 0 0, 17.4°, rel. 41
hkl 1 1 1, 30.4°, rel. 100
hkl 2 0 0, 35.2°, rel. 88
hkl 2 1 0, 39.5°, rel. 21
hkl 2 2 0, 50.6°, rel. 60
hkl 3 1 1, 60.2°, rel. 42
hkl 2 2 2, 63.2°, rel. 20
hkl 4 2 0, 85.1°, rel. 26

=====

Record 5
This entry pairs a crystal structure of MnSbSe2 with its calculated XRD peak list. Radiation: Cu Ka. Structure: DFT lattice parameters and positions (GGA-PBE).
Lines closer than 0.1° are merged.

Crystal structure
a = 3.6666 Å, b = 3.6666 Å, c = 25.9400 Å
α = 90.00°, β = 90.00°, γ = 120.00°
Space group R3m (No. 160, hexagonal axes)
Inequivalent atoms, fractional coordinates:
Mn 0.0000 0.0000 0.0000 [3 per cell]
Sb 0.0000 0.0000 0.5813 [3 per cell]
Se 0.0000 0.0000 0.1783 [3 per cell]
Se 0.0000 0.0000 0.7156 [3 per cell]

The 8 most intense peaks (10° ≤ 2θ ≤ 90°), low angle first:
hkl 0 0 3, 10.2°, rel. 57
hkl 0 0 6, 20.5°, rel. 29
hkl 0 1 2, 28.9°, rel. 100
hkl 0 1 5, 33.1°, rel. 81
hkl 1 0 7, 37.3°, rel. 100
hkl 0 1 8, 39.7°, rel. 32
hkl 1 0 10, 45.1°, rel. 31
hkl 1 1 0, 49.7°, rel. 61

=====

Record 6
This entry pairs a crystal structure of MnSb4Se7 with its calculated XRD peak list. Radiation: Cu Ka. Structure: DFT lattice parameters and positions (GGA-PBE).
Lines closer than 0.1° are merged.

Crystal structure
a = 13.4220 Å, b = 4.0447 Å, c = 12.7868 Å
α = 90.00°, β = 103.00°, γ = 90.00°
Space group Cm (No. 8)
Inequivalent atoms, fractional coordinates:
Mn 0.0000 0.0000 0.0000 [2 per cell]
Sb 0.1289 0.0000 0.4411 [2 per cell]
Sb 0.2452 0.5000 0.1559 [2 per cell]
Sb 0.2651 0.0000 0.8640 [2 per cell]
Sb 0.4313 0.0000 0.5706 [2 per cell]
Se 0.0863 0.0000 0.6383 [2 per cell]
Se 0.1183 0.0000 0.1950 [2 per cell]
Se 0.1289 0.5000 0.9583 [2 per cell]
Se 0.2905 0.5000 0.4621 [2 per cell]
Se 0.3839 0.0000 0.0613 [2 per cell]
Se 0.3840 0.5000 0.8071 [2 per cell]
Se 0.4789 0.0000 0.3797 [2 per cell]

The 8 most intense peaks (10° ≤ 2θ ≤ 90°), low angle first:
hkl 0 0 2, 14.2°, rel. 31
hkl 2 0 1, 16.7°, rel. 35
hkl 3 1 -1, 29.9°, rel. 100
hkl 3 1 0, 30.1°, rel. 32
hkl 3 1 -2, 31.4°, rel. 45
hkl 3 1 1, 32.1°, rel. 28
hkl 3 1 2, 35.5°, rel. 32
hkl 0 2 0, 44.8°, rel. 39

=====

Record 7
This entry pairs a crystal structure of MnSbSe3 with its calculated XRD peak list. Radiation: Cu Ka. Structure: DFT lattice parameters and positions (GGA-PBE).
Lines closer than 0.1° are merged.

Crystal structure
a = 6.7333 Å, b = 6.7333 Å, c = 6.7141 Å
α = 90.00°, β = 90.00°, γ = 120.00°
Space group P-31m (No. 162)
Inequivalent atoms, fractional coordinates:
Mn 0.3333 0.6667 0.0000 [2 per cell]
Sb 0.0000 0.0000 0.2216 [2 per cell]
Se 0.0000 0.4114 0.7773 [6 per cell]

The 8 most intense peaks (10° ≤ 2θ ≤ 90°), low angle first:
hkl 0 0 1, 13.2°, rel. 48
hkl 0 0 2, 26.5°, rel. 62
hkl 1 1 1, 29.7°, rel. 79
hkl 2 0 0, 30.7°, rel. 99
hkl 2 0 2, 41.0°, rel. 100
hkl 2 1 1, 43.2°, rel. 23
hkl 3 0 0, 46.7°, rel. 30
hkl 4 -1 1, 58.7°, rel. 39

=====

Record 8
This entry pairs a crystal structure of MnSbSe2 with its calculated XRD peak list. Radiation: Cu Ka. Structure: DFT lattice parameters and positions (GGA-PBE).
Lines closer than 0.1° are merged.

Crystal structure
a = 12.8322 Å, b = 10.5326 Å, c = 12.3404 Å
α = 90.00°, β = 90.40°, γ = 90.00°
Space group C2/c (No. 15)
Inequivalent atoms, fractional coordinates:
Mn 0.1159 0.1588 0.3158 [8 per cell]
Mn 0.1678 0.0722 0.6646 [8 per cell]
Sb 0.1229 0.3004 0.7735 [8 per cell]
Sb 0.1933 0.4704 0.1704 [8 per cell]
Se 0.0000 0.0089 0.7500 [4 per cell]
Se 0.0000 0.3452 0.2500 [4 per cell]
Se 0.0490 0.1010 0.5014 [8 per cell]
Se 0.1956 0.1592 0.1258 [8 per cell]
Se 0.1997 0.3222 0.4327 [8 per cell]

The 8 most intense peaks (10° ≤ 2θ ≤ 90°), low angle first:
hkl 1 1 0, 10.9°, rel. 40
hkl 0 0 2, 14.4°, rel. 100
hkl 2 2 -2, 26.2°, rel. 58
hkl 1 3 -2, 30.1°, rel. 88
hkl 4 0 2, 31.5°, rel. 58
hkl 4 2 1, 33.5°, rel. 53
hkl 0 4 1, 34.8°, rel. 42
hkl 5 1 -1, 36.7°, rel. 43

=====

Record 9
This entry pairs a crystal structure of TbMnSb3 with its calculated XRD peak list. Radiation: Cu Ka. Structure: DFT lattice parameters and positions (GGA-PBE).
Lines closer than 0.1° are merged.

Crystal structure
a = 12.7539 Å, b = 6.2288 Å, c = 6.0305 Å
α = 90.00°, β = 90.00°, γ = 90.00°
Space group Pbcm (No. 57)
Inequivalent atoms, fractional coordinates:
Tb 0.1891 0.0040 0.2500 [4 per cell]
Mn 0.4045 0.7500 0.0000 [4 per cell]
Sb 0.0022 0.7500 0.0000 [4 per cell]
Sb 0.2720 0.5007 0.2500 [4 per cell]
Sb 0.4354 0.1037 0.2500 [4 per cell]

The 8 most intense peaks (10° ≤ 2θ ≤ 90°), low angle first:
hkl 3 1 1, 29.4°, rel. 32
hkl 2 2 0, 32.0°, rel. 77
hkl 2 0 2, 32.9°, rel. 49
hkl 4 1 1, 34.9°, rel. 100
hkl 3 2 0, 35.7°, rel. 27
hkl 3 0 2, 36.5°, rel. 32
hkl 0 2 2, 41.7°, rel. 72
hkl 2 4 2, 69.5°, rel. 26

=====

Record 10
This entry pairs a crystal structure of MnSb2Te with its calculated XRD peak list. Radiation: Cu Ka. Structure: DFT lattice parameters and positions (GGA-PBE).
Lines closer than 0.1° are merged.

Crystal structure
a = 4.2077 Å, b = 6.0590 Å, c = 8.5400 Å
α = 90.00°, β = 90.00°, γ = 90.00°
Space group Amm2 (No. 38)
Inequivalent atoms, fractional coordinates:
Mn 0.0000 0.0000 0.0000 [2 per cell]
Sb 0.0000 0.0000 0.4880 [2 per cell]
Sb 0.5000 0.0000 0.2387 [2 per cell]
Te 0.5000 0.0000 0.7821 [2 per cell]

The 8 most intense peaks (10° ≤ 2θ ≤ 90°), low angle first:
hkl 0 2 0, 29.5°, rel. 55
hkl 1 0 2, 29.8°, rel. 100
hkl 1 2 2, 42.4°, rel. 91
hkl 2 0 0, 43.0°, rel. 19
hkl 0 2 4, 52.4°, rel. 17
hkl 2 2 0, 53.0°, rel. 20
hkl 1 4 2, 69.5°, rel. 17
hkl 2 2 4, 70.1°, rel. 14